1.
This entry pairs a crystal structure of Mg2Pa4Br with its computed X-ray diffraction stick pattern. Radiation: CuKα. Structure: a DFT-relaxed cell (PBE, OQMD).
No peak broadening, texture or thermal motion is included.

Principal peaks in the range 10 to 90 degrees two-theta, most intense first:
two_theta  I (rel.)
33.77  100
37.21  50
39.61  47
30.91  37
17.52  33
13.12  29
58.09  25
67.26  25

Structural model:
```
Mg2Pa4Br
1.0
3.176 0.000 0.000
-1.588 2.750 0.000
0.000 0.000 20.251
Mg Pa Br
2 4 1
Direct
0.333 0.667 0.212
0.667 0.333 0.788
0.333 0.667 0.375
0.333 0.667 0.929
0.667 0.333 0.071
0.667 0.333 0.625
0.000 0.000 0.500
```

2.
This entry pairs a crystal structure of Pb2WN2 with its computed X-ray diffraction stick pattern. Radiation: CuKα. Structure: a DFT-relaxed cell (PBE, OQMD).
No peak broadening, texture or thermal motion is included.

Principal peaks in the range 10 to 90 degrees two-theta, most intense first:
two_theta  I (rel.)
31.44  100
43.46  74
17.19  50
29.22  48
26.52  42
54.61  41
45.06  35
82.03  25

Structural model:
```
Pb2WN2
1.0
-2.845 2.845 6.112
2.845 -2.845 6.112
2.845 2.845 -6.112
Pb W N
4 2 4
Direct
0.108 0.358 0.750
0.358 0.108 0.250
0.642 0.892 0.750
0.892 0.642 0.250
0.125 0.875 0.250
0.875 0.125 0.750
0.000 0.500 0.500
0.500 0.000 0.000
0.500 0.500 0.000
0.500 0.500 0.500
```

3.
This entry pairs a crystal structure of Ge2Pt3O with its computed X-ray diffraction stick pattern. Radiation: CuKα. Structure: a DFT-relaxed cell (PBE, OQMD).
No peak broadening, texture or thermal motion is included.

Principal peaks in the range 10 to 90 degrees two-theta, most intense first:
two_theta  I (rel.)
37.01  100
45.19  49
38.16  49
44.02  43
28.58  37
23.50  36
43.69  28
59.64  27

Structural model:
```
Ge2Pt3O
1.0
4.753 0.000 0.000
0.000 4.114 0.000
-1.112 0.000 4.797
Ge Pt O
2 3 1
Direct
0.000 0.000 0.000
0.180 0.500 0.586
0.313 0.500 0.129
0.670 0.000 0.350
0.714 0.500 0.768
0.104 0.000 0.622
```